No. 1
# K3In
Simulated X-ray powder pattern, copper Kα. Input: a DFT-relaxed cell (GGA-PBE, the Materials Project).

Principal peaks in the range 2θ = 5–70°, low angle first:
- 5.195 Å, intensity 27
- 3.360 Å, intensity 100
- 2.939 Å, intensity 17
- 2.896 Å, intensity 33
- 2.063 Å, intensity 24
- 1.767 Å, intensity 14
- 1.748 Å, intensity 27
- 1.680 Å, intensity 12

Structural model:
```
data_K3In
_chemical_formula_sum 'K6 In2'
_cell_length_a 5.7911
_cell_length_b 5.7911
_cell_length_c 11.7546
_cell_angle_alpha 90.00
_cell_angle_beta 90.00
_cell_angle_gamma 90.00
_symmetry_space_group_name_H-M 'I 4/m m m'
_symmetry_Int_Tables_number 139
_symmetry_space_group_name_Hall '-I 4 2'
loop_
_atom_site_label
_atom_site_type_symbol
_atom_site_fract_x
_atom_site_fract_y
_atom_site_fract_z
K1 K 0.0000 0.0000 0.0000
K2 K 0.0000 0.5000 0.2500
In1 In 0.0000 0.0000 0.5000
```

=====

No. 2
# K8In11
Simulated X-ray powder pattern, copper Kα. Input: a DFT-relaxed cell (GGA-PBE, the Materials Project).

Principal peaks in the range 2θ = 5–70°, low angle first:
- 8.576 Å, intensity 46
- 8.306 Å, intensity 100
- 7.249 Å, intensity 33
- 4.859 Å, intensity 18
- 2.948 Å, intensity 18
- 2.925 Å, intensity 47
- 2.841 Å, intensity 72
- 2.506 Å, intensity 18

Structural model:
```
data_K8In11
_chemical_formula_sum 'K48 In66'
_cell_length_a 10.1331
_cell_length_b 10.1331
_cell_length_c 51.4590
_cell_angle_alpha 90.00
_cell_angle_beta 90.00
_cell_angle_gamma 120.00
_symmetry_space_group_name_H-M 'R -3 c'
_symmetry_Int_Tables_number 167
_symmetry_space_group_name_Hall '-R 3 2"c'
loop_
_atom_site_label
_atom_site_type_symbol
_atom_site_fract_x
_atom_site_fract_y
_atom_site_fract_z
K1 K 0.0000 0.0000 0.0794
K2 K 0.0335 0.2962 0.1451
In1 In 0.0000 0.0000 0.2001
In2 In 0.0000 0.2102 0.7500
In3 In 0.0092 0.2941 0.2194
```

=====

No. 3
# K3In
Simulated X-ray powder pattern, copper Kα. Input: a DFT-relaxed cell (GGA-PBE, the Materials Project).

Principal peaks in the range 2θ = 5–70°, low angle first:
- 5.832 Å, intensity 26
- 4.124 Å, intensity 23
- 3.367 Å, intensity 100
- 2.916 Å, intensity 51
- 2.608 Å, intensity 15
- 2.062 Å, intensity 35
- 1.759 Å, intensity 41
- 1.684 Å, intensity 12

Structural model:
```
data_K3In
_chemical_formula_sum 'K3 In1'
_cell_length_a 5.8324
_cell_length_b 5.8324
_cell_length_c 5.8324
_cell_angle_alpha 90.00
_cell_angle_beta 90.00
_cell_angle_gamma 90.00
_symmetry_space_group_name_H-M 'P m -3 m'
_symmetry_Int_Tables_number 221
_symmetry_space_group_name_Hall '-P 4 2 3'
loop_
_atom_site_label
_atom_site_type_symbol
_atom_site_fract_x
_atom_site_fract_y
_atom_site_fract_z
K1 K 0.0000 0.0000 0.5000
In1 In 0.5000 0.5000 0.5000
```

=====

No. 4
# KLaNbInO6
Simulated X-ray powder pattern, copper Kα. Input: a DFT-relaxed cell (GGA-PBE, the Materials Project).

Principal peaks in the range 2θ = 5–70°, low angle first:
- 4.765 Å, intensity 16
- 4.127 Å, intensity 5
- 2.918 Å, intensity 100
- 2.489 Å, intensity 10
- 2.063 Å, intensity 33
- 1.893 Å, intensity 5
- 1.685 Å, intensity 39
- 1.459 Å, intensity 20

Structural model:
```
data_KLaNbInO6
_chemical_formula_sum 'K4 La4 Nb4 In4 O24'
_cell_length_a 8.2535
_cell_length_b 8.2535
_cell_length_c 8.2535
_cell_angle_alpha 90.00
_cell_angle_beta 90.00
_cell_angle_gamma 90.00
_symmetry_space_group_name_H-M 'F -4 3 m'
_symmetry_Int_Tables_number 216
_symmetry_space_group_name_Hall 'F -4 2 3'
loop_
_atom_site_label
_atom_site_type_symbol
_atom_site_fract_x
_atom_site_fract_y
_atom_site_fract_z
K1 K 0.0000 0.0000 0.0000
La1 La 0.0000 0.0000 0.5000
Nb1 Nb 0.2500 0.2500 0.7500
In1 In 0.2500 0.2500 0.2500
O1 O 0.0083 0.2500 0.7500
```

=====

No. 5
# K3Mg20In14
Simulated X-ray powder pattern, copper Kα. Input: a DFT-relaxed cell (GGA-PBE, the Materials Project).

Principal peaks in the range 2θ = 5–70°, low angle first:
- 5.694 Å, intensity 22
- 4.026 Å, intensity 49
- 3.287 Å, intensity 49
- 2.973 Å, intensity 27
- 2.392 Å, intensity 25
- 2.324 Å, intensity 100
- 2.152 Å, intensity 26
- 1.644 Å, intensity 22

Structural model:
```
data_K3Mg20In14
_chemical_formula_sum 'K3 Mg20 In14'
_cell_length_a 9.8619
_cell_length_b 9.8619
_cell_length_c 9.8619
_cell_angle_alpha 90.00
_cell_angle_beta 90.00
_cell_angle_gamma 90.00
_symmetry_space_group_name_H-M 'P m -3 m'
_symmetry_Int_Tables_number 221
_symmetry_space_group_name_Hall '-P 4 2 3'
loop_
_atom_site_label
_atom_site_type_symbol
_atom_site_fract_x
_atom_site_fract_y
_atom_site_fract_z
K1 K 0.0000 0.0000 0.5000
Mg1 Mg 0.1745 0.1745 0.1745
Mg2 Mg 0.2652 0.2652 0.5000
In1 In 0.0000 0.0000 0.0000
In2 In 0.0000 0.3492 0.3492
In3 In 0.5000 0.5000 0.5000
```

=====

No. 6
# KInMo6Se6
Simulated X-ray powder pattern, copper Kα. Input: a DFT-relaxed cell (GGA-PBE, the Materials Project).

Principal peaks in the range 2θ = 5–70°, low angle first:
- 8.312 Å, intensity 100
- 3.291 Å, intensity 12
- 3.142 Å, intensity 12
- 2.580 Å, intensity 14
- 2.261 Å, intensity 15
- 2.120 Å, intensity 40
- 2.054 Å, intensity 20
- 1.757 Å, intensity 12

Structural model:
```
data_KInMo6Se6
_chemical_formula_sum 'K1 In1 Mo6 Se6'
_cell_length_a 9.5975
_cell_length_b 9.5975
_cell_length_c 4.5222
_cell_angle_alpha 90.00
_cell_angle_beta 90.00
_cell_angle_gamma 120.00
_symmetry_space_group_name_H-M 'P -6'
_symmetry_Int_Tables_number 174
loop_
_symmetry_equiv_pos_as_xyz
'x,y,z'
'-x+y,-x,-z'
'-y,x-y,z'
'x,y,-z'
'-x+y,-x,z'
'-y,x-y,-z'
loop_
_atom_site_label
_atom_site_type_symbol
_atom_site_fract_x
_atom_site_fract_y
_atom_site_fract_z
K1 K 0.0000 0.0000 0.0000
In1 In 0.6667 0.3333 0.5000
Mo1 Mo 0.1694 0.6598 0.0000
Mo2 Mo 0.1775 0.5028 0.5000
Se1 Se 0.0076 0.6508 0.5000
Se2 Se 0.0202 0.3437 0.0000
```

=====

No. 7
# KInTe6Mo6
Simulated X-ray powder pattern, copper Kα. Input: a DFT-relaxed cell (GGA-PBE, the Materials Project).

Principal peaks in the range 2θ = 5–70°, low angle first:
- 8.533 Å, intensity 100
- 3.371 Å, intensity 45
- 2.851 Å, intensity 15
- 2.641 Å, intensity 21
- 2.312 Å, intensity 26
- 2.182 Å, intensity 21
- 2.170 Å, intensity 37
- 1.796 Å, intensity 13

Structural model:
```
data_KInTe6Mo6
_chemical_formula_sum 'K1 In1 Te6 Mo6'
_cell_length_a 9.8257
_cell_length_b 4.6235
_cell_length_c 9.8299
_cell_angle_alpha 90.00
_cell_angle_beta 119.51
_cell_angle_gamma 90.00
_symmetry_space_group_name_H-M 'P 1 m 1'
_symmetry_Int_Tables_number 6
loop_
_symmetry_equiv_pos_as_xyz
'x,y,z'
'x,-y,z'
loop_
_atom_site_label
_atom_site_type_symbol
_atom_site_fract_x
_atom_site_fract_y
_atom_site_fract_z
K1 K 0.0000 0.0000 0.0000
In1 In 0.6803 0.5000 0.3464
Te1 Te 0.0230 0.5000 0.7045
Te2 Te 0.3025 0.5000 0.3162
Te3 Te 0.3804 0.0000 0.0187
Te4 Te 0.6457 0.0000 0.6186
Te5 Te 0.6860 0.5000 0.9790
Te6 Te 0.9838 0.0000 0.3602
Mo1 Mo 0.1721 0.5000 0.5211
Mo2 Mo 0.1906 0.0000 0.6866
Mo3 Mo 0.3191 0.0000 0.5008
Mo4 Mo 0.3551 0.5000 0.8309
Mo5 Mo 0.4841 0.5000 0.6470
Mo6 Mo 0.5020 0.0000 0.8117
```

=====

What did the third record say?
# K3In
Simulated X-ray powder pattern, copper Kα. Input: a DFT-relaxed cell (GGA-PBE, the Materials Project).

Principal peaks in the range 2θ = 5–70°, low angle first:
- 5.832 Å, intensity 26
- 4.124 Å, intensity 23
- 3.367 Å, intensity 100
- 2.916 Å, intensity 51
- 2.608 Å, intensity 15
- 2.062 Å, intensity 35
- 1.759 Å, intensity 41
- 1.684 Å, intensity 12

Structural model:
```
data_K3In
_chemical_formula_sum 'K3 In1'
_cell_length_a 5.8324
_cell_length_b 5.8324
_cell_length_c 5.8324
_cell_angle_alpha 90.00
_cell_angle_beta 90.00
_cell_angle_gamma 90.00
_symmetry_space_group_name_H-M 'P m -3 m'
_symmetry_Int_Tables_number 221
_symmetry_space_group_name_Hall '-P 4 2 3'
loop_
_atom_site_label
_atom_site_type_symbol
_atom_site_fract_x
_atom_site_fract_y
_atom_site_fract_z
K1 K 0.0000 0.0000 0.5000
In1 In 0.5000 0.5000 0.5000
```